For CsC2I3N2, DFT lattice parameters and positions (GGA-PBE) gives the calculated XRD peak list in this record (Cu Kα).
Kinematic intensities with the Lorentz-polarization factor, no thermal factor.

Peak list (10 most intense, 10° ≤ 2θ ≤ 90°, low angle first)
index, d [Å], 2theta, I/Imax
0 0 1, 4.627, 19.18, 23
1 3 0, 4.286, 20.72, 29
1 2 1, 3.472, 25.65, 100
2 0 0, 3.398, 26.23, 60
1 3 1, 3.144, 28.38, 51
1 4 1, 2.810, 31.85, 39
0 6 0, 2.762, 32.42, 29
2 6 0, 2.143, 42.16, 27
3 2 1, 1.976, 45.93, 20
1 8 1, 1.821, 50.08, 16

Crystal structure
```
data_CsC2I3N2
_space_group_name_H-M_alt 'P 1'
_space_group_IT_number 1
_space_group_name_Hall 'P 1'
_cell_length_a 6.7961
_cell_length_b 16.5705
_cell_length_c 4.6268
_cell_angle_alpha 90.00
_cell_angle_beta 90.00
_cell_angle_gamma 90.00
loop_
_atom_site_label
_atom_site_fract_x
_atom_site_fract_y
_atom_site_fract_z
Cs1 0.2500 0.2500 0.1820
Cs2 0.7500 0.7500 0.8180
C1 0.2500 0.0383 0.7191
C2 0.2500 0.4617 0.7191
C3 0.7500 0.5383 0.2809
C4 0.7500 0.9617 0.2809
I1 0.2500 0.5748 0.9067
I2 0.2500 0.7500 0.2472
I3 0.2500 0.9252 0.9067
I4 0.7500 0.0748 0.0933
I5 0.7500 0.2500 0.7528
I6 0.7500 0.4252 0.0933
N1 0.2500 0.1041 0.6272
N2 0.2500 0.3959 0.6272
N3 0.7500 0.6041 0.3728
N4 0.7500 0.8959 0.3728
```